(1)
Diffraction record for BaNdCuN2. The powder diffractogram is simulated, not measured: it uses a structure optimized by DFT (GGA-PBE) and Cu Kα.

The 10 most intense peaks (5 to 70 degrees two-theta), in order of rising 2θ:
- hkl 1 0 0, 14.97 deg, d = 5.916 Å, I = 25
- hkl 1 1 0, 22.59 deg, d = 3.936 Å, I = 100
- hkl 0 0 2, 25.51 deg, d = 3.492 Å, I = 27
- hkl 2 0 0, 30.21 deg, d = 2.958 Å, I = 58
- hkl 0 2 0, 34.01 deg, d = 2.636 Å, I = 42
- hkl 1 1 -2, 34.27 deg, d = 2.617 Å, I = 95
- hkl 1 1 2, 34.39 deg, d = 2.608 Å, I = 94
- hkl 2 2 0, 46.12 deg, d = 1.968 Å, I = 47
- hkl 3 1 -2, 56.23 deg, d = 1.636 Å, I = 23
- hkl 1 3 2, 61.07 deg, d = 1.517 Å, I = 36

Structure:
Cell: 5.9164 5.2724 6.9839 Å, 90.00 90.29 90.00°
Space group P2/c (No. 13)
Asymmetric unit:
Ba (0.0000, 0.0028, 0.2500) x2
Nd (0.5000, 0.5005, 0.2500) x2
Cu (0.5000, 0.0000, 0.0000) x2
N (0.2948, 0.2699, 0.9994) x4

***

(2)
Diffraction record for Cs3PrI8. The powder diffractogram is simulated, not measured: it uses a structure optimized by DFT (GGA-PBE) and Cu Kα.

The 10 most intense peaks (5 to 70 degrees two-theta), in order of rising 2θ:
- hkl 1 0 1, 11.37 deg, d = 7.780 Å, I = 12
- hkl 1 1 2, 17.57 deg, d = 5.046 Å, I = 50
- hkl 2 0 4, 28.71 deg, d = 3.109 Å, I = 100
- hkl 2 2 0, 29.25 deg, d = 3.053 Å, I = 48
- hkl 3 1 2, 34.33 deg, d = 2.612 Å, I = 17
- hkl 0 0 8, 40.22 deg, d = 2.242 Å, I = 14
- hkl 4 0 0, 41.84 deg, d = 2.159 Å, I = 14
- hkl 2 2 8, 50.52 deg, d = 1.806 Å, I = 14
- hkl 4 2 4, 51.53 deg, d = 1.773 Å, I = 26
- hkl 4 0 8, 59.43 deg, d = 1.555 Å, I = 13

Structure:
Cell: 8.6358 8.6358 17.9253 Å, 90.00 90.00 90.00°
Space group I4/mmm (No. 139)
Asymmetric unit:
Cs (0.0000, 0.0000, 0.0000) x2
Cs (0.0000, 0.5000, 0.2500) x4
Pr (0.0000, 0.0000, 0.5000) x2
I (0.2195, 0.2195, 0.3909) x16